The following is a calculated X-ray powder pattern of LaPmPr2Dy. It was derived from a cell relaxed with GGA-PBE, using Cu Kα (λ = 1.5418 Å).

Largest 10 diffraction maxima, low angle first, 2θ from 5° to 70°:
| Position (°2θ) | intensity | h k l |
| --- | --- | --- |
| 20.82 | 39 | 2 0 0 |
| 27.62 | 83 | 2 1 -1 |
| 28.11 | 61 | 0 0 2 |
| 28.84 | 93 | 1 2 0 |
| 29.48 | 100 | 2 1 1 |
| 31.23 | 41 | 0 1 2 |
| 31.75 | 59 | 1 2 -1 |
| 33.79 | 50 | 1 1 2 |
| 34.23 | 49 | 2 2 0 |
| 42.99 | 43 | 3 1 -2 |

Atomic structure:
abc: 8.566 6.644 6.374
angles: 90.00 95.08 90.00
Space group P2/c (No. 13)
Inequivalent atoms, fractional coordinates:
La 0.000 0.000 0.000
Pm 0.000 0.434 0.250
Pr 0.311 0.310 0.720
Dy 0.500 0.165 0.250


The following is a calculated X-ray powder pattern of LaPm4Pr2Dy. It was derived from a cell relaxed with GGA-PBE, using Cu Kα (λ = 1.5418 Å).

Largest 10 diffraction maxima, low angle first, 2θ from 5° to 70°:
| Position (°2θ) | intensity | h k l |
| --- | --- | --- |
| 26.40 | 68 | 0 4 0 |
| 29.59 | 49 | 0 0 2 |
| 29.73 | 100 | 4 0 0 |
| 40.07 | 43 | 0 4 2 |
| 40.17 | 88 | 4 4 0 |
| 52.59 | 19 | 4 0 2 |
| 59.79 | 25 | 4 4 2 |
| 60.02 | 14 | 8 4 -2 |
| 63.15 | 34 | 4 8 0 |
| 68.33 | 18 | 8 4 0 |

Atomic structure:
abc: 13.859 13.505 6.962
angles: 90.00 119.87 90.00
Space group C2/c (No. 15)
Inequivalent atoms, fractional coordinates:
La 0.250 0.250 0.000
Pm 0.001 0.244 0.002
Pm 0.246 0.000 0.467
Pr 0.000 0.500 0.000
Pr 0.250 0.250 0.500
Dy 0.000 0.000 0.000


The following is a calculated X-ray powder pattern of LaPm6Sm2Dy. It was derived from a cell relaxed with GGA-PBE, using Cu Kα (λ = 1.5418 Å).

Largest 10 diffraction maxima, low angle first, 2θ from 5° to 70°:
| Position (°2θ) | intensity | h k l |
| --- | --- | --- |
| 27.20 | 20 | 2 2 -2 |
| 28.04 | 61 | 1 3 2 |
| 29.75 | 64 | 0 2 3 |
| 30.03 | 87 | 3 1 -1 |
| 30.64 | 68 | 1 5 0 |
| 30.88 | 55 | 2 4 -1 |
| 31.10 | 100 | 2 2 2 |
| 31.56 | 39 | 1 5 -1 |
| 32.74 | 89 | 1 3 -3 |
| 33.32 | 24 | 2 2 -3 |

Atomic structure:
abc: 9.210 15.403 9.903
angles: 90.00 98.92 90.00
Space group C2/c (No. 15)
Inequivalent atoms, fractional coordinates:
La 0.000 0.095 0.250
Pm 0.064 0.318 0.444
Pm 0.103 0.105 0.622
Pm 0.200 0.275 0.817
Sm 0.240 0.450 0.043
Dy 0.000 0.477 0.750


The following is a calculated X-ray powder pattern of La2PmSm2Dy. It was derived from a cell relaxed with GGA-PBE, using Cu Kα (λ = 1.5418 Å).

Largest 10 diffraction maxima, low angle first, 2θ from 5° to 70°:
| Position (°2θ) | intensity | h k l |
| --- | --- | --- |
| 26.26 | 35 | 0 1 1 |
| 28.25 | 100 | 2 2 0 |
| 29.34 | 76 | 0 6 0 |
| 29.74 | 75 | 0 3 1 |
| 30.69 | 44 | 1 2 1 |
| 32.27 | 33 | 1 6 0 |
| 33.06 | 69 | 2 4 0 |
| 35.20 | 43 | 1 4 1 |
| 40.23 | 68 | 2 3 1 |
| 54.15 | 27 | 1 9 1 |

Atomic structure:
abc: 6.733 18.267 3.454
angles: 90.00 90.00 90.00
Space group Pnnm (No. 58)
Inequivalent atoms, fractional coordinates:
La 0.229 0.185 0.000
Pm 0.000 0.500 0.000
Sm 0.225 0.355 0.500
Dy 0.000 0.000 0.000


The following is a calculated X-ray powder pattern of LaTbPm2Dy4. It was derived from a cell relaxed with GGA-PBE, using Cu Kα (λ = 1.5418 Å).

Largest 8 diffraction maxima, low angle first, 2θ from 5° to 70°:
| Position (°2θ) | intensity | h k l |
| --- | --- | --- |
| 30.43 | 100 | 2 2 0 |
| 35.16 | 34 | 2 0 2 |
| 35.53 | 17 | 0 4 0 |
| 50.57 | 12 | 4 0 0 |
| 50.85 | 24 | 2 4 2 |
| 60.18 | 29 | 4 2 2 |
| 60.67 | 14 | 2 6 0 |
| 63.33 | 12 | 4 4 0 |

Atomic structure:
abc: 7.219 10.107 7.220
angles: 90.00 90.09 90.00
Space group Pm (No. 6)
Inequivalent atoms, fractional coordinates:
La 0.000 0.000 0.000
La 0.500 0.000 0.000
Tb 0.001 0.000 0.500
Tb 0.001 0.500 0.000
Pm 0.000 0.500 0.500
Pm 0.500 0.500 0.500
Pm 0.501 0.000 0.500
Pm 0.501 0.500 0.000
Dy 0.249 0.252 0.251
Dy 0.249 0.252 0.748
Dy 0.752 0.252 0.252
Dy 0.752 0.252 0.748


The following is a calculated X-ray powder pattern of La2Tb4PmDy. It was derived from a cell relaxed with GGA-PBE, using Cu Kα (λ = 1.5418 Å).

Largest 10 diffraction maxima, low angle first, 2θ from 5° to 70°:
| Position (°2θ) | intensity | h k l |
| --- | --- | --- |
| 30.24 | 100 | 1 1 2 |
| 34.76 | 17 | 0 2 0 |
| 35.01 | 17 | 2 0 0 |
| 35.40 | 16 | 0 0 4 |
| 50.17 | 12 | 2 2 0 |
| 50.46 | 12 | 0 2 4 |
| 59.54 | 15 | 1 3 2 |
| 59.87 | 14 | 3 1 2 |
| 60.38 | 14 | 1 1 6 |
| 62.89 | 12 | 2 2 4 |

Atomic structure:
abc: 5.125 5.161 10.143
angles: 90.00 90.05 90.00
Space group P2/m (No. 10)
Inequivalent atoms, fractional coordinates:
La 0.000 0.000 0.000
La 0.500 0.500 0.500
Tb 0.000 0.500 0.251
Tb 0.499 0.000 0.749
Pm 0.500 0.500 0.000
Dy 0.000 0.000 0.500


The following is a calculated X-ray powder pattern of LaTb2PmDy4. It was derived from a cell relaxed with GGA-PBE, using Cu Kα (λ = 1.5418 Å).

Largest 10 diffraction maxima, low angle first, 2θ from 5° to 70°:
| Position (°2θ) | intensity | h k l |
| --- | --- | --- |
| 29.67 | 47 | 2 2 1 |
| 30.89 | 35 | 0 0 4 |
| 32.62 | 100 | 0 2 -2 |
| 37.06 | 26 | 2 2 -3 |
| 48.99 | 12 | 2 2 -5 |
| 50.71 | 26 | 4 2 0 |
| 56.04 | 22 | 0 2 -6 |
| 60.56 | 31 | 4 2 4 |
| 61.60 | 16 | 4 4 -2 |
| 64.39 | 8 | 0 0 8 |

Atomic structure:
abc: 7.196 7.200 11.581
angles: 90.00 89.99 60.08
Space group P-1 (No. 2)
Inequivalent atoms, fractional coordinates:
La 0.000 0.000 0.000
La 0.500 0.500 0.000
Tb 0.000 0.000 0.500
Tb 0.000 0.500 0.500
Tb 0.500 0.000 0.000
Tb 0.500 0.000 0.500
Pm 0.000 0.500 0.000
Pm 0.500 0.500 0.500
Dy 0.166 0.167 0.748
Dy 0.167 0.667 0.748
Dy 0.333 0.333 0.252
Dy 0.333 0.833 0.252


The following is a calculated X-ray powder pattern of La2TbPm6Dy. It was derived from a cell relaxed with GGA-PBE, using Cu Kα (λ = 1.5418 Å).

Largest 10 diffraction maxima, low angle first, 2θ from 5° to 70°:
| Position (°2θ) | intensity | h k l |
| --- | --- | --- |
| 28.16 | 41 | 1 3 2 |
| 29.41 | 46 | 0 2 3 |
| 30.08 | 64 | 3 1 -1 |
| 30.99 | 100 | 1 5 0 |
| 31.38 | 73 | 2 2 2 |
| 31.77 | 16 | 1 5 -1 |
| 32.31 | 59 | 1 3 -3 |
| 32.75 | 22 | 2 2 -3 |
| 51.05 | 16 | 4 2 -4 |
| 56.50 | 19 | 5 3 1 |

Atomic structure:
abc: 9.158 15.241 10.097
angles: 90.00 100.32 90.00
Space group C2/c (No. 15)
Inequivalent atoms, fractional coordinates:
La 0.241 0.049 0.041
Tb 0.000 0.012 0.750
Pm 0.068 0.191 0.444
Pm 0.102 0.398 0.621
Pm 0.199 0.219 0.811
Dy 0.000 0.405 0.250


The following is a calculated X-ray powder pattern of LaTb2PmDy5. It was derived from a cell relaxed with GGA-PBE, using Cu Kα (λ = 1.5418 Å).

Largest 10 diffraction maxima, low angle first, 2θ from 5° to 70°:
| Position (°2θ) | intensity | h k l |
| --- | --- | --- |
| 28.61 | 100 | 2 2 0 |
| 30.97 | 99 | 2 0 4 |
| 32.07 | 16 | 3 1 0 |
| 37.21 | 36 | 3 2 1 |
| 42.65 | 23 | 4 0 2 |
| 47.63 | 16 | 0 0 8 |
| 52.17 | 22 | 4 2 4 |
| 56.50 | 22 | 2 2 8 |
| 58.56 | 14 | 5 1 4 |
| 64.52 | 16 | 4 4 4 |

Atomic structure:
abc: 8.827 8.827 15.272
angles: 90.00 90.00 90.00
Space group I4/mcm (No. 140)
Inequivalent atoms, fractional coordinates:
La 0.000 0.000 0.250
Tb 0.116 0.384 0.000
Pm 0.000 0.500 0.250
Dy 0.000 0.000 0.000
Dy 0.204 0.296 0.367


The following is a calculated X-ray powder pattern of LaTb2Pm3Dy6. It was derived from a cell relaxed with GGA-PBE, using Cu Kα (λ = 1.5418 Å).

Largest 10 diffraction maxima, low angle first, 2θ from 5° to 70°:
| Position (°2θ) | intensity | h k l |
| --- | --- | --- |
| 30.48 | 100 | 1 3 1 |
| 30.60 | 33 | 0 0 4 |
| 35.37 | 67 | 2 0 2 |
| 50.81 | 24 | 0 6 0 |
| 50.97 | 24 | 1 3 5 |
| 60.45 | 33 | 4 0 0 |
| 60.49 | 10 | 3 3 -5 |
| 60.63 | 14 | 2 0 6 |
| 63.43 | 12 | 2 6 2 |
| 63.71 | 4 | 0 0 8 |

Atomic structure:
abc: 6.226 10.781 11.867
angles: 90.00 100.04 90.00
Space group C2/m (No. 12)
Inequivalent atoms, fractional coordinates:
La 0.000 0.000 0.000
Tb 0.000 0.333 0.000
Pm 0.000 0.167 0.500
Pm 0.000 0.500 0.500
Dy 0.249 0.333 0.750
Dy 0.249 0.500 0.250


The following is a calculated X-ray powder pattern of LaPmDy3Th. It was derived from a cell relaxed with GGA-PBE, using Cu Kα (λ = 1.5418 Å).

Largest 10 diffraction maxima, low angle first, 2θ from 5° to 70°:
| Position (°2θ) | intensity | h k l |
| --- | --- | --- |
| 25.09 | 36 | 0 0 2 |
| 30.07 | 45 | 1 1 2 |
| 30.17 | 92 | 5 1 -1 |
| 30.28 | 100 | 5 1 1 |
| 31.05 | 24 | 4 0 2 |
| 31.63 | 98 | 0 2 0 |
| 32.65 | 59 | 3 1 -2 |
| 32.77 | 35 | 3 1 2 |
| 35.37 | 45 | 7 1 0 |
| 55.41 | 25 | 5 3 -1 |

Atomic structure:
abc: 19.879 5.657 7.098
angles: 90.00 90.33 90.00
Space group C2/m (No. 12)
Inequivalent atoms, fractional coordinates:
La 0.145 0.000 0.455
Pm 0.148 0.000 0.034
Dy 0.024 0.000 0.753
Dy 0.157 0.500 0.756
Dy 0.221 0.500 0.252
Th 0.053 0.500 0.228


The following is a calculated X-ray powder pattern of La2PmDy4Th. It was derived from a cell relaxed with GGA-PBE, using Cu Kα (λ = 1.5418 Å).

Largest 10 diffraction maxima, low angle first, 2θ from 5° to 70°:
| Position (°2θ) | intensity | h k l |
| --- | --- | --- |
| 8.86 | 2 | 0 0 1 |
| 19.36 | 2 | 1 0 1 |
| 30.34 | 100 | 1 1 2 |
| 34.75 | 35 | 2 0 0 |
| 35.99 | 16 | 0 0 4 |
| 49.97 | 13 | 2 2 0 |
| 50.90 | 24 | 2 0 4 |
| 59.58 | 30 | 3 1 2 |
| 61.23 | 13 | 1 1 6 |
| 63.11 | 12 | 2 2 4 |

Atomic structure:
abc: 5.161 5.164 9.981
angles: 90.00 90.04 90.00
Space group P2/m (No. 10)
Inequivalent atoms, fractional coordinates:
La 0.000 0.000 0.000
La 0.500 0.500 0.500
Pm 0.000 0.000 0.500
Dy 0.000 0.500 0.244
Dy 0.500 0.000 0.244
Th 0.500 0.500 0.000


Q: Which formula does entry 9 have?
A: LaTb2PmDy5